Diffraction record for K2AgBrCl3. The X-ray powder pattern is theoretical, not measured: it uses a PBE-relaxed structure and Cu Kα (λ = 1.5418 Å).

Top 12 peaks for 10° ≤ 2θ ≤ 90°, by angle:
2θ/deg	I (rel.)
12.20	100
21.35	48
24.66	43
27.38	59
27.82	22
32.75	31
34.27	39
35.43	19
35.69	36
43.49	20
45.56	28
50.31	24

Unit cell a=4.161 b=7.259 c=7.259 alpha=92.25 beta=90.00 gamma=90.00
Element x y z (fractional)
K  0.000  0.239  0.761
K  0.000  0.761  0.239
Ag  0.500  0.748  0.748
Br  0.500  0.491  0.491
Cl  0.500  0.513  0.984
Cl  0.500  0.984  0.513
Cl  0.500  0.994  0.994

Diffraction record for Sr2AgBrClO2. The X-ray powder pattern is theoretical, not measured: it uses a PBE-relaxed structure and Cu Kα (λ = 1.5418 Å).

Top 12 peaks for 10° ≤ 2θ ≤ 90°, by angle:
2θ/deg	I (rel.)
11.10	29
26.95	9
29.90	70
35.26	100
42.79	35
56.61	49
62.12	11
66.46	11
70.46	12
73.49	11
74.56	10
88.97	14

Unit cell a=8.514 b=8.514 c=8.514 alpha=151.26 beta=151.26 gamma=41.10
Element x y z (fractional)
Sr  0.000  0.000  0.000
Sr  0.212  0.212  0.000
Ag  0.607  0.607  0.000
Br  0.798  0.798  0.000
Cl  0.425  0.425  0.000
O  0.107  0.607  0.500
O  0.607  0.107  0.500

Diffraction record for Rb2AgBr2Cl2. The X-ray powder pattern is theoretical, not measured: it uses a PBE-relaxed structure and Cu Kα (λ = 1.5418 Å).

Top 12 peaks for 10° ≤ 2θ ≤ 90°, by angle:
2θ/deg	I (rel.)
11.65	40
11.76	30
23.06	38
25.94	100
30.86	33
31.02	34
33.52	81
40.23	25
42.74	22
43.00	28
47.87	25
53.34	41

Unit cell a=4.483 b=7.528 c=7.594 alpha=90.00 beta=90.00 gamma=90.00
Element x y z (fractional)
Rb  0.000  0.000  0.000
Rb  0.000  0.500  0.457
Ag  0.500  0.500  0.975
Br  0.500  0.256  0.733
Br  0.500  0.744  0.733
Cl  0.500  0.267  0.208
Cl  0.500  0.733  0.208

Diffraction record for Rb2AgBr3Cl. The X-ray powder pattern is theoretical, not measured: it uses a PBE-relaxed structure and Cu Kα (λ = 1.5418 Å).

Top 12 peaks for 10° ≤ 2θ ≤ 90°, by angle:
2θ/deg	I (rel.)
11.55	77
19.50	34
22.72	37
25.37	78
25.74	39
30.49	100
32.46	64
33.65	52
39.59	34
42.60	37
47.46	37
52.90	32

Unit cell a=4.553 b=7.668 c=7.668 alpha=88.02 beta=90.00 gamma=90.00
Element x y z (fractional)
Rb  0.000  0.239  0.761
Rb  0.000  0.761  0.239
Ag  0.500  0.749  0.749
Br  0.500  0.504  0.995
Br  0.500  0.513  0.513
Br  0.500  0.995  0.504
Cl  0.500  0.975  0.975

Diffraction record for Ag5Se4BrCl2. The X-ray powder pattern is theoretical, not measured: it uses a PBE-relaxed structure and Cu Kα (λ = 1.5418 Å).

Top 12 peaks for 10° ≤ 2θ ≤ 90°, by angle:
2θ/deg	I (rel.)
18.08	30
25.34	100
27.94	82
34.47	28
36.74	31
39.48	60
42.76	24
43.52	23
45.07	59
46.95	19
48.30	30
54.11	32

Unit cell a=7.741 b=7.087 c=7.087 alpha=127.09 beta=90.00 gamma=90.00
Element x y z (fractional)
Ag  0.000  0.000  0.000
Ag  0.263  0.358  0.725
Ag  0.263  0.725  0.358
Ag  0.737  0.358  0.725
Ag  0.737  0.725  0.358
Se  0.176  0.367  0.367
Se  0.500  0.053  0.647
Se  0.500  0.647  0.053
Se  0.824  0.367  0.367
Br  0.500  0.218  0.218
Cl  0.000  0.007  0.646
Cl  0.000  0.646  0.007

Diffraction record for CsAgI2Br. The X-ray powder pattern is theoretical, not measured: it uses a PBE-relaxed structure and Cu Kα (λ = 1.5418 Å).

Top 12 peaks for 10° ≤ 2θ ≤ 90°, by angle:
2θ/deg	I (rel.)
15.03	21
21.44	41
26.38	100
30.33	46
30.67	95
37.73	17
43.68	64
43.93	34
51.97	28
54.31	32
72.51	14
80.58	19

Unit cell a=8.290 b=8.290 c=8.290 alpha=120.36 beta=120.36 gamma=89.39
Element x y z (fractional)
Cs  0.250  0.750  0.500
Cs  0.750  0.250  0.500
Ag  0.000  0.000  0.000
Ag  0.500  0.500  0.000
I  0.236  0.236  0.472
I  0.236  0.764  0.000
I  0.764  0.236  0.000
I  0.764  0.764  0.528
Br  0.283  0.283  0.000
Br  0.717  0.717  0.000

Diffraction record for Cs2AgSnBr6. The X-ray powder pattern is theoretical, not measured: it uses a PBE-relaxed structure and Cu Kα (λ = 1.5418 Å).

Top 12 peaks for 10° ≤ 2θ ≤ 90°, by angle:
2θ/deg	I (rel.)
22.41	81
27.54	82
31.76	51
31.97	100
39.38	25
45.69	73
45.85	36
54.32	23
56.85	38
75.57	16
75.92	16
84.74	25

Unit cell a=7.942 b=7.942 c=7.942 alpha=120.21 beta=120.21 gamma=89.63
Element x y z (fractional)
Cs  0.250  0.750  0.500
Cs  0.750  0.250  0.500
Ag  0.000  0.000  0.000
Sn  0.500  0.500  0.000
Br  0.250  0.250  0.500
Br  0.250  0.750  0.000
Br  0.251  0.251  0.000
Br  0.749  0.749  0.000
Br  0.750  0.250  0.000
Br  0.750  0.750  0.500

Diffraction record for Cs2AgSnBr6. The X-ray powder pattern is theoretical, not measured: it uses a PBE-relaxed structure and Cu Kα (λ = 1.5418 Å).

Top 12 peaks for 10° ≤ 2θ ≤ 90°, by angle:
2θ/deg	I (rel.)
22.38	54
27.50	55
31.86	100
39.28	25
45.68	72
51.44	11
54.14	23
56.76	25
61.79	13
66.58	12
75.71	32
84.48	25

Unit cell a=7.946 b=7.946 c=7.946 alpha=59.98 beta=59.98 gamma=59.98
Element x y z (fractional)
Cs  0.250  0.250  0.250
Cs  0.750  0.750  0.750
Ag  0.500  0.500  0.500
Sn  0.000  0.000  0.000
Br  0.249  0.750  0.251
Br  0.250  0.749  0.751
Br  0.251  0.249  0.750
Br  0.749  0.751  0.250
Br  0.750  0.251  0.249
Br  0.751  0.250  0.749